Record 1
# LiSnP4O12
Calculated X-ray powder pattern, λ = 1.5418 Å (Cu Kα). Input: a cell relaxed with GGA-PBE.
No peak broadening, texture or thermal motion is included.

The 10 most intense peaks (5 to 70 degrees two-theta), sorted by position:
| two_theta | I (rel.) |
| --- | --- |
| 10.35 | 80.9 |
| 14.62 | 100.0 |
| 17.19 | 31.8 |
| 21.26 | 21.4 |
| 22.12 | 60.0 |
| 23.79 | 33.7 |
| 25.90 | 22.0 |
| 28.04 | 26.4 |
| 33.97 | 24.2 |
| 36.62 | 18.2 |

Structure:
a b c (Å): 17.4741 12.1183 5.4884
angles (deg): 90.00 101.85 90.00
Space group C2/m (No. 12)
One atom of each set of equivalent atoms:
Li  0.0641  0.0000  0.1140 [4 per cell]
Sn  0.2500  0.2500  0.5000 [4 per cell]
P  0.0736  0.2019  0.6743 [8 per cell]
P  0.1785  0.3822  0.9508 [8 per cell]
O  0.0000  0.2640  0.5000 [4 per cell]
O  0.0476  0.1121  0.8227 [8 per cell]
O  0.1054  0.3041  0.8584 [8 per cell]
O  0.1321  0.1769  0.5108 [8 per cell]
O  0.1385  0.5000  0.8644 [4 per cell]
O  0.2006  0.3795  0.2308 [8 per cell]
O  0.2449  0.3611  0.8166 [8 per cell]

Record 2
# RbLiZn2O3
Calculated X-ray powder pattern, λ = 1.5418 Å (Cu Kα). Input: a cell relaxed with GGA-PBE.
No peak broadening, texture or thermal motion is included.

The 10 most intense peaks (5 to 70 degrees two-theta), sorted by position:
| two_theta | I (rel.) |
| --- | --- |
| 28.36 | 49.3 |
| 30.70 | 100.0 |
| 32.05 | 68.0 |
| 34.16 | 70.7 |
| 36.44 | 62.6 |
| 37.47 | 80.5 |
| 52.69 | 26.9 |
| 59.83 | 40.6 |
| 61.95 | 30.5 |
| 62.23 | 26.7 |

Structure:
a b c (Å): 10.4988 10.4988 3.4743
angles (deg): 90.00 90.00 90.00
Space group P4_2/mnm (No. 136)
One atom of each set of equivalent atoms:
Rb  0.1097  0.1097  0.0000 [4 per cell]
Li  0.2016  0.7984  0.0000 [4 per cell]
Zn  0.0731  0.6717  0.5000 [8 per cell]
O  0.1138  0.3447  0.5000 [8 per cell]
O  0.1416  0.8584  0.5000 [4 per cell]

Record 3
# Dy2CuGe2O8
Calculated X-ray powder pattern, λ = 1.5418 Å (Cu Kα). Input: a cell relaxed with GGA-PBE.
No peak broadening, texture or thermal motion is included.

The 10 most intense peaks (5 to 70 degrees two-theta), sorted by position:
| two_theta | I (rel.) |
| --- | --- |
| 18.21 | 34.1 |
| 24.76 | 46.5 |
| 28.27 | 100.0 |
| 28.63 | 95.9 |
| 32.26 | 89.0 |
| 34.47 | 96.5 |
| 34.86 | 44.8 |
| 44.17 | 37.9 |
| 48.00 | 47.0 |
| 48.46 | 46.2 |

Structure:
a b c (Å): 9.6258 15.0761 5.1472
angles (deg): 90.00 121.56 90.00
Space group Cm (No. 8)
One atom of each set of equivalent atoms:
Dy  0.0000  0.1201  0.0000 [4 per cell]
Dy  0.0033  0.3792  0.4939 [4 per cell]
Cu  0.2130  0.2928  0.1936 [4 per cell]
Ge  0.2430  0.5000  0.1903 [2 per cell]
Ge  0.2466  0.0000  0.7942 [2 per cell]
Ge  0.2581  0.2105  0.7340 [4 per cell]
O  0.0723  0.0000  0.8274 [2 per cell]
O  0.0764  0.5000  0.8029 [2 per cell]
O  0.0853  0.2413  0.3654 [4 per cell]
O  0.2380  0.4063  0.3994 [4 per cell]
O  0.2455  0.0921  0.5701 [4 per cell]
O  0.2489  0.1700  0.0589 [4 per cell]
O  0.2548  0.3290  0.8862 [4 per cell]
O  0.4164  0.0000  0.1721 [2 per cell]
O  0.4169  0.5000  0.1512 [2 per cell]
O  0.4412  0.2341  0.7408 [4 per cell]

Record 4
# BeMo3
Calculated X-ray powder pattern, λ = 1.5418 Å (Cu Kα). Input: a cell relaxed with GGA-PBE.
No peak broadening, texture or thermal motion is included.

The 8 most intense peaks (5 to 70 degrees two-theta), sorted by position:
| two_theta | I (rel.) |
| --- | --- |
| 25.96 | 39.4 |
| 37.04 | 9.9 |
| 41.60 | 100.0 |
| 45.78 | 21.1 |
| 53.38 | 5.2 |
| 60.29 | 7.1 |
| 66.75 | 17.0 |
| 69.86 | 20.7 |

Structure:
a b c (Å): 4.8544 4.8544 4.8544
angles (deg): 90.00 90.00 90.00
Space group Pm-3n (No. 223)
One atom of each set of equivalent atoms:
Be  0.0000  0.0000  0.0000 [2 per cell]
Mo  0.0000  0.2500  0.5000 [6 per cell]

Record 5
# Cs2KCeI6
Calculated X-ray powder pattern, λ = 1.5418 Å (Cu Kα). Input: a cell relaxed with GGA-PBE.
No peak broadening, texture or thermal motion is included.

The 10 most intense peaks (5 to 70 degrees two-theta), sorted by position:
| two_theta | I (rel.) |
| --- | --- |
| 11.77 | 13.8 |
| 19.27 | 12.6 |
| 23.66 | 93.6 |
| 27.38 | 100.0 |
| 39.11 | 75.0 |
| 46.22 | 43.9 |
| 48.40 | 26.5 |
| 56.51 | 12.3 |
| 62.11 | 17.4 |
| 63.91 | 33.3 |

Structure:
a b c (Å): 13.0283 13.0283 13.0283
angles (deg): 90.00 90.00 90.00
Space group Fm-3m (No. 225)
One atom of each set of equivalent atoms:
Cs  0.2500  0.2500  0.2500 [8 per cell]
K  0.0000  0.0000  0.0000 [4 per cell]
Ce  0.0000  0.0000  0.5000 [4 per cell]
I  0.0000  0.0000  0.2601 [24 per cell]

Record 6
# LiMg6Sb
Calculated X-ray powder pattern, λ = 1.5418 Å (Cu Kα). Input: a cell relaxed with GGA-PBE.
No peak broadening, texture or thermal motion is included.

The 10 most intense peaks (5 to 70 degrees two-theta), sorted by position:
| two_theta | I (rel.) |
| --- | --- |
| 15.95 | 45.9 |
| 16.06 | 34.6 |
| 17.45 | 35.8 |
| 23.75 | 81.5 |
| 27.94 | 23.1 |
| 32.23 | 36.7 |
| 35.32 | 36.3 |
| 36.88 | 100.0 |
| 37.08 | 52.0 |
| 48.56 | 22.7 |

Structure:
a b c (Å): 5.0818 6.4295 11.0357
angles (deg): 90.00 90.00 90.00
Space group Amm2 (No. 38)
One atom of each set of equivalent atoms:
Li  0.0000  0.0000  0.0000 [2 per cell]
Mg  0.0000  0.0000  0.5003 [2 per cell]
Mg  0.0000  0.2451  0.2463 [4 per cell]
Mg  0.5000  0.0000  0.3326 [2 per cell]
Mg  0.5000  0.2486  0.0813 [4 per cell]
Sb  0.5000  0.0000  0.8363 [2 per cell]

Record 7
# LiSn5Rh3
Calculated X-ray powder pattern, λ = 1.5418 Å (Cu Kα). Input: a cell relaxed with GGA-PBE.
No peak broadening, texture or thermal motion is included.

The 10 most intense peaks (5 to 70 degrees two-theta), sorted by position:
| two_theta | I (rel.) |
| --- | --- |
| 31.98 | 37.8 |
| 32.10 | 65.3 |
| 34.01 | 72.3 |
| 36.81 | 38.2 |
| 38.03 | 100.0 |
| 40.07 | 83.7 |
| 40.57 | 53.3 |
| 41.81 | 63.6 |
| 42.03 | 87.3 |
| 42.93 | 47.3 |

Structure:
a b c (Å): 5.4689 9.9113 12.9639
angles (deg): 90.00 90.00 90.00
Space group Pbcm (No. 57)
One atom of each set of equivalent atoms:
Li  0.0978  0.1087  0.2500 [4 per cell]
Sn  0.1259  0.6737  0.6128 [8 per cell]
Sn  0.3428  0.0759  0.7500 [4 per cell]
Sn  0.3664  0.1269  0.0630 [8 per cell]
Rh  0.1468  0.5523  0.0784 [8 per cell]
Rh  0.4054  0.6946  0.2500 [4 per cell]

Record 8
# YI3O11
Calculated X-ray powder pattern, λ = 1.5418 Å (Cu Kα). Input: a cell relaxed with GGA-PBE.
No peak broadening, texture or thermal motion is included.

The 10 most intense peaks (5 to 70 degrees two-theta), sorted by position:
| two_theta | I (rel.) |
| --- | --- |
| 8.73 | 60.5 |
| 14.90 | 73.9 |
| 21.43 | 64.7 |
| 23.60 | 46.1 |
| 23.91 | 73.2 |
| 25.67 | 58.6 |
| 25.84 | 59.1 |
| 28.26 | 100.0 |
| 28.42 | 47.3 |
| 30.10 | 46.6 |

Structure:
a b c (Å): 7.0684 7.5710 10.7102
angles (deg): 94.43 105.52 110.52
Space group P-1 (No. 2)
One atom of each set of equivalent atoms:
Y  0.1024  0.4231  0.2891 [2 per cell]
I  0.2661  0.7287  0.0442 [2 per cell]
I  0.2782  0.3609  0.6618 [2 per cell]
I  0.3165  0.8576  0.5739 [2 per cell]
O  0.0703  0.6239  0.1302 [2 per cell]
O  0.0956  0.7960  0.9103 [2 per cell]
O  0.0979  0.8467  0.6388 [2 per cell]
O  0.1422  0.7224  0.4070 [2 per cell]
O  0.2226  0.1598  0.2763 [2 per cell]
O  0.2358  0.5583  0.7472 [2 per cell]
O  0.2555  0.2182  0.8905 [2 per cell]
O  0.2929  0.4645  0.5140 [2 per cell]
O  0.3757  0.1006  0.5353 [2 per cell]
O  0.4325  0.5463  0.2489 [2 per cell]
O  0.4373  0.9584  0.1515 [2 per cell]

Record 9
# Al6B5O18
Calculated X-ray powder pattern, λ = 1.5418 Å (Cu Kα). Input: a cell relaxed with GGA-PBE.
No peak broadening, texture or thermal motion is included.

The 10 most intense peaks (5 to 70 degrees two-theta), sorted by position:
| two_theta | I (rel.) |
| --- | --- |
| 20.52 | 100.0 |
| 23.17 | 39.4 |
| 31.58 | 25.7 |
| 33.42 | 36.2 |
| 40.50 | 67.3 |
| 42.21 | 27.4 |
| 43.54 | 54.8 |
| 45.82 | 36.7 |
| 53.76 | 45.2 |
| 66.37 | 56.6 |

Structure:
a b c (Å): 8.6546 8.6546 8.3095
angles (deg): 90.00 90.00 120.00
Space group P6_3/m (No. 176)
One atom of each set of equivalent atoms:
Al  0.0139  0.6615  0.0759 [12 per cell]
B  0.0006  0.7673  0.7500 [6 per cell]
B  0.3333  0.6667  0.5576 [4 per cell]
O  0.0897  0.2864  0.1022 [12 per cell]
O  0.1192  0.6173  0.2500 [6 per cell]
O  0.1198  0.3011  0.7500 [6 per cell]
O  0.1500  0.5885  0.5583 [12 per cell]